Theoretical X-ray powder pattern
Compound: AsOsSe6
Radiation: Cu Kα
Structure: a structure optimized by DFT (PBE)
No peak broadening, texture or thermal motion is included.

Peak list (10 most intense, 10 to 90 degrees two-theta, low angle first)
2θ (°), I/Imax
16.8, 50
19.4, 86
32.5, 61
34.0, 49
39.5, 100
43.2, 48
44.4, 36
57.1, 65
71.6, 21
80.9, 24

Cell and atoms:
abc: 6.4562 6.4562 6.4562
angles: 60.00 60.00 60.00
Fractional coordinates of all 8 atoms:
As: 0.0000 0.0000 0.0000
Os: 0.7500 0.7500 0.7500
Se: 0.0179 0.0179 0.4821
Se: 0.0179 0.4821 0.0179
Se: 0.0179 0.4821 0.4821
Se: 0.4821 0.0179 0.0179
Se: 0.4821 0.0179 0.4821
Se: 0.4821 0.4821 0.0179

=====

Theoretical X-ray powder pattern
Compound: Pr4INCl4
Radiation: Cu Kα
Structure: a structure optimized by DFT (PBE)
No peak broadening, texture or thermal motion is included.

Peak list (10 most intense, 10 to 90 degrees two-theta, low angle first)
2θ (°), I/Imax
10.4, 100
20.8, 15
28.2, 21
30.6, 73
31.2, 26
31.6, 32
33.2, 14
36.0, 17
44.4, 19
44.8, 20

Cell and atoms:
abc: 9.0160 9.0160 8.7699
angles: 104.77 104.77 25.05
Fractional coordinates of all 10 atoms:
Pr: 0.0007 0.0007 0.3063
Pr: 0.3549 0.3549 0.4220
Pr: 0.6451 0.6451 0.5780
Pr: 0.9993 0.9993 0.6937
I: 0.5000 0.5000 0.0000
N: 0.5000 0.5000 0.5000
Cl: 0.1661 0.1661 0.8211
Cl: 0.1714 0.1714 0.3521
Cl: 0.8286 0.8286 0.6479
Cl: 0.8339 0.8339 0.1789

=====

Theoretical X-ray powder pattern
Compound: ErTm2Mg3Ir2Pd
Radiation: Cu Kα
Structure: a structure optimized by DFT (PBE)
No peak broadening, texture or thermal motion is included.

Peak list (10 most intense, 10 to 90 degrees two-theta, low angle first)
2θ (°), I/Imax
14.0, 34
24.4, 43
33.3, 99
36.3, 100
37.7, 22
43.0, 34
44.2, 27
45.4, 24
52.2, 31
69.0, 23

Cell and atoms:
abc: 3.9927 7.2909 7.2909
angles: 120.04 90.00 90.00
Fractional coordinates of all 9 atoms:
Er: 0.0000 0.0000 0.0000
Tm: 0.0000 0.4161 0.8317
Tm: 0.0000 0.8317 0.4161
Mg: 0.5000 0.1665 0.4163
Mg: 0.5000 0.4163 0.1665
Mg: 0.5000 0.6654 0.6654
Ir: 0.5000 0.0830 0.7488
Ir: 0.5000 0.7488 0.0830
Pd: 0.0000 0.4166 0.4166

=====

Theoretical X-ray powder pattern
Compound: Pr4CIF4
Radiation: Cu Kα
Structure: a structure optimized by DFT (PBE)
No peak broadening, texture or thermal motion is included.

Peak list (10 most intense, 10 to 90 degrees two-theta, low angle first)
2θ (°), I/Imax
25.7, 40
29.3, 94
29.9, 32
30.8, 42
31.1, 33
32.2, 100
38.7, 28
47.1, 28
48.9, 29
51.4, 42

Cell and atoms:
abc: 7.3295 7.3295 8.7836
angles: 123.37 123.37 30.50
Fractional coordinates of all 10 atoms:
Pr: 0.0296 0.0296 0.3370
Pr: 0.2909 0.2909 0.2541
Pr: 0.7091 0.7091 0.7459
Pr: 0.9704 0.9704 0.6630
C: 0.5000 0.5000 0.5000
I: 0.5000 0.5000 0.0000
F: 0.1834 0.1834 0.8958
F: 0.2371 0.2371 0.6025
F: 0.7629 0.7629 0.3975
F: 0.8166 0.8166 0.1042

=====

Theoretical X-ray powder pattern
Compound: DyLu6Ni2S2
Radiation: Cu Kα
Structure: a structure optimized by DFT (PBE)
No peak broadening, texture or thermal motion is included.

Peak list (10 most intense, 10 to 90 degrees two-theta, low angle first)
2θ (°), I/Imax
30.4, 67
31.9, 69
32.4, 41
35.2, 55
36.1, 100
36.5, 50
49.2, 28
54.7, 22
57.5, 35
61.9, 26

Cell and atoms:
abc: 8.7391 8.7391 8.7391
angles: 155.54 67.61 118.08
Fractional coordinates of all 11 atoms:
Dy: 0.0000 0.0000 0.0000
Lu: 0.0738 0.3883 0.6855
Lu: 0.1160 0.7517 0.3644
Lu: 0.3873 0.7517 0.6356
Lu: 0.4755 0.5962 0.8793
Lu: 0.7028 0.3883 0.3145
Lu: 0.7169 0.5962 0.1207
Ni: 0.3268 0.0862 0.2406
Ni: 0.8456 0.0862 0.7594
S: 0.3481 0.3481 0.0000
S: 0.7481 0.2481 0.5000

=====

Theoretical X-ray powder pattern
Compound: Zr9Ni2P4
Radiation: Cu Kα
Structure: a structure optimized by DFT (PBE)
No peak broadening, texture or thermal motion is included.

Peak list (10 most intense, 10 to 90 degrees two-theta, low angle first)
2θ (°), I/Imax
32.1, 12
33.8, 15
36.2, 100
38.0, 28
38.5, 36
42.4, 17
49.4, 20
61.3, 24
64.0, 12
71.0, 12

Cell and atoms:
abc: 12.0689 12.0689 3.6902
angles: 90.00 90.00 90.00
Fractional coordinates of all 30 atoms:
Zr: 0.0000 0.0000 0.0000
Zr: 0.0960 0.4040 0.0000
Zr: 0.1023 0.1811 0.5000
Zr: 0.1195 0.6195 0.5000
Zr: 0.1811 0.8977 0.5000
Zr: 0.3189 0.3977 0.5000
Zr: 0.3805 0.1195 0.5000
Zr: 0.3977 0.6811 0.5000
Zr: 0.4040 0.9040 0.0000
Zr: 0.5000 0.5000 0.0000
Zr: 0.5960 0.0960 0.0000
Zr: 0.6023 0.3189 0.5000
Zr: 0.6195 0.8805 0.5000
Zr: 0.6811 0.6023 0.5000
Zr: 0.8189 0.1023 0.5000
Zr: 0.8805 0.3805 0.5000
Zr: 0.8977 0.8189 0.5000
Zr: 0.9040 0.5960 0.0000
Ni: 0.2464 0.7464 0.0000
Ni: 0.2536 0.2464 0.0000
Ni: 0.7464 0.7536 0.0000
Ni: 0.7536 0.2536 0.0000
P: 0.0566 0.7754 0.0000
P: 0.2246 0.0566 0.0000
P: 0.2754 0.5566 0.0000
P: 0.4434 0.2754 0.0000
P: 0.5566 0.7246 0.0000
P: 0.7246 0.4434 0.0000
P: 0.7754 0.9434 0.0000
P: 0.9434 0.2246 0.0000

=====

Theoretical X-ray powder pattern
Compound: Pm3Ga2Si2
Radiation: Cu Kα
Structure: a structure optimized by DFT (PBE)
No peak broadening, texture or thermal motion is included.

Peak list (10 most intense, 10 to 90 degrees two-theta, low angle first)
2θ (°), I/Imax
26.4, 25
31.8, 100
40.9, 14
41.4, 15
45.0, 12
49.8, 9
56.1, 14
59.7, 10
62.8, 9
69.5, 10

Cell and atoms:
abc: 4.0326 4.3580 18.4373
angles: 90.00 90.00 90.00
Fractional coordinates of all 14 atoms:
Pm: 0.0000 0.0000 0.0000
Pm: 0.0000 0.5000 0.3140
Pm: 0.0000 0.5000 0.6860
Pm: 0.5000 0.0000 0.1860
Pm: 0.5000 0.0000 0.8140
Pm: 0.5000 0.5000 0.5000
Ga: 0.0000 0.0000 0.4335
Ga: 0.0000 0.0000 0.5665
Ga: 0.5000 0.5000 0.0665
Ga: 0.5000 0.5000 0.9335
Si: 0.0000 0.5000 0.1446
Si: 0.0000 0.5000 0.8554
Si: 0.5000 0.0000 0.3554
Si: 0.5000 0.0000 0.6446

=====

Theoretical X-ray powder pattern
Compound: PmMo2
Radiation: Cu Kα
Structure: a structure optimized by DFT (PBE)
No peak broadening, texture or thermal motion is included.

Peak list (10 most intense, 10 to 90 degrees two-theta, low angle first)
2θ (°), I/Imax
32.1, 41
37.9, 100
39.6, 28
46.1, 1
57.3, 16
61.1, 32
67.2, 26
76.5, 7
79.8, 11
80.9, 10

Cell and atoms:
abc: 5.5711 5.5711 5.5711
angles: 60.00 60.00 60.00
Fractional coordinates of all 6 atoms:
Pm: 0.1250 0.1250 0.1250
Pm: 0.8750 0.8750 0.8750
Mo: 0.0000 0.5000 0.5000
Mo: 0.5000 0.0000 0.5000
Mo: 0.5000 0.5000 0.0000
Mo: 0.5000 0.5000 0.5000

=====

Theoretical X-ray powder pattern
Compound: Dy2Lu5Ga
Radiation: Cu Kα
Structure: a structure optimized by DFT (PBE)
No peak broadening, texture or thermal motion is included.

Peak list (10 most intense, 10 to 90 degrees two-theta, low angle first)
2θ (°), I/Imax
29.9, 24
33.1, 24
34.3, 100
45.2, 16
53.1, 13
53.2, 6
59.9, 20
64.0, 22
64.8, 11
88.4, 9

Cell and atoms:
abc: 5.4131 6.8891 11.9623
angles: 90.00 90.00 90.00
Fractional coordinates of all 16 atoms:
Dy: 0.0000 0.0000 0.0000
Dy: 0.0000 0.5000 0.5000
Dy: 0.5000 0.0000 0.3426
Dy: 0.5000 0.5000 0.8426
Lu: 0.0000 0.2441 0.7546
Lu: 0.0000 0.2559 0.2546
Lu: 0.0000 0.7441 0.2546
Lu: 0.0000 0.7559 0.7546
Lu: 0.5000 0.0000 0.8363
Lu: 0.5000 0.2446 0.5858
Lu: 0.5000 0.2554 0.0858
Lu: 0.5000 0.5000 0.3363
Lu: 0.5000 0.7446 0.0858
Lu: 0.5000 0.7554 0.5858
Ga: 0.0000 0.0000 0.5067
Ga: 0.0000 0.5000 0.0067

=====

Theoretical X-ray powder pattern
Compound: Er2TmAl3CuGe2
Radiation: Cu Kα
Structure: a structure optimized by DFT (PBE)
No peak broadening, texture or thermal motion is included.

Peak list (10 most intense, 10 to 90 degrees two-theta, low angle first)
2θ (°), I/Imax
21.5, 24
25.6, 38
29.6, 19
33.6, 100
36.9, 69
39.5, 23
43.7, 22
45.1, 22
54.9, 18
59.6, 25

Cell and atoms:
abc: 4.1410 6.9680 6.9680
angles: 119.99 90.00 90.00
Fractional coordinates of all 9 atoms:
Er: 0.0000 0.2015 0.7985
Er: 0.0000 0.7985 0.2015
Tm: 0.0000 0.6045 0.6045
Al: 0.5000 0.2016 0.4339
Al: 0.5000 0.4339 0.2016
Al: 0.5000 0.9691 0.9691
Cu: 0.0000 0.2017 0.2017
Ge: 0.5000 0.5349 0.8680
Ge: 0.5000 0.8680 0.5349

=====

Theoretical X-ray powder pattern
Compound: SmTmMg6
Radiation: Cu Kα
Structure: a structure optimized by DFT (PBE)
No peak broadening, texture or thermal motion is included.

Peak list (10 most intense, 10 to 90 degrees two-theta, low angle first)
2θ (°), I/Imax
20.9, 100
24.1, 18
24.3, 35
34.5, 91
34.7, 45
40.5, 19
40.8, 36
42.6, 16
61.6, 17
62.0, 33

Cell and atoms:
abc: 5.1772 7.3961 5.1775
angles: 90.00 90.00 90.00
Fractional coordinates of all 8 atoms:
Sm: 0.0000 0.0000 0.0000
Tm: 0.5000 0.5000 0.4934
Mg: 0.0000 0.2563 0.5005
Mg: 0.0000 0.5000 0.0000
Mg: 0.0000 0.7437 0.5005
Mg: 0.5000 0.0000 0.4950
Mg: 0.5000 0.2563 0.9933
Mg: 0.5000 0.7437 0.9933

=====

Theoretical X-ray powder pattern
Compound: Fe2CuHg
Radiation: Cu Kα
Structure: a structure optimized by DFT (PBE)
No peak broadening, texture or thermal motion is included.

Peak list (10 most intense, 10 to 90 degrees two-theta, low angle first)
2θ (°), I/Imax
25.3, 33
29.3, 15
42.0, 100
49.7, 17
52.0, 4
60.9, 16
67.0, 7
69.0, 6
76.7, 32
82.3, 6

Cell and atoms:
abc: 6.0887 6.0887 6.0887
angles: 90.00 90.00 90.00
Fractional coordinates of all 16 atoms:
Fe: 0.0000 0.0000 0.0000
Fe: 0.0000 0.5000 0.5000
Fe: 0.2500 0.2500 0.2500
Fe: 0.2500 0.7500 0.7500
Fe: 0.5000 0.0000 0.5000
Fe: 0.5000 0.5000 0.0000
Fe: 0.7500 0.2500 0.7500
Fe: 0.7500 0.7500 0.2500
Cu: 0.0000 0.0000 0.5000
Cu: 0.0000 0.5000 0.0000
Cu: 0.5000 0.0000 0.0000
Cu: 0.5000 0.5000 0.5000
Hg: 0.2500 0.2500 0.7500
Hg: 0.2500 0.7500 0.2500
Hg: 0.7500 0.2500 0.2500
Hg: 0.7500 0.7500 0.7500

=====

Theoretical X-ray powder pattern
Compound: ZrGeTeSe3
Radiation: Cu Kα
Structure: a structure optimized by DFT (PBE)
No peak broadening, texture or thermal motion is included.

Peak list (10 most intense, 10 to 90 degrees two-theta, low angle first)
2θ (°), I/Imax
13.7, 74
27.6, 32
28.5, 25
29.8, 100
33.3, 40
33.9, 52
37.2, 64
38.5, 28
47.5, 29
52.2, 25

Cell and atoms:
abc: 8.3661 8.3661 10.5710
angles: 90.00 90.00 153.53
Fractional coordinates of all 12 atoms:
Zr: 0.1571 0.8429 0.5000
Zr: 0.8429 0.1571 0.0000
Ge: 0.2752 0.7248 0.2973
Ge: 0.7248 0.2752 0.7973
Te: 0.4005 0.5995 0.8020
Te: 0.5995 0.4005 0.3020
Se: 0.1257 0.8743 0.7665
Se: 0.2285 0.7715 0.0708
Se: 0.4653 0.5347 0.0233
Se: 0.5347 0.4653 0.5233
Se: 0.7715 0.2285 0.5708
Se: 0.8743 0.1257 0.2665

=====

Theoretical X-ray powder pattern
Compound: Pr2TmAl7Ag2
Radiation: Cu Kα
Structure: a structure optimized by DFT (PBE)
No peak broadening, texture or thermal motion is included.

Peak list (10 most intense, 10 to 90 degrees two-theta, low angle first)
2θ (°), I/Imax
18.5, 17
20.0, 36
29.8, 26
31.8, 83
32.5, 20
37.8, 100
44.4, 16
60.6, 25
61.7, 25
66.4, 17

Cell and atoms:
abc: 9.4643 9.4643 9.4643
angles: 34.62 34.62 34.62
Fractional coordinates of all 12 atoms:
Pr: 0.1416 0.1416 0.1416
Pr: 0.8584 0.8584 0.8584
Tm: 0.0000 0.0000 0.0000
Al: 0.0744 0.5854 0.5854
Al: 0.4146 0.4146 0.9256
Al: 0.4146 0.9256 0.4146
Al: 0.5000 0.5000 0.5000
Al: 0.5854 0.0744 0.5854
Al: 0.5854 0.5854 0.0744
Al: 0.9256 0.4146 0.4146
Ag: 0.3359 0.3359 0.3359
Ag: 0.6641 0.6641 0.6641